Structure and simulated powder diffraction line list of LiMn2OF3 (a cell relaxed with PBE+U; Cu Kα (weighted mean of Kα1 and Kα2)).
Lines closer than 0.1° are merged.

```
data_LiMn2OF3
_cell_length_a 10.736
_cell_length_b 6.350
_cell_length_c 5.246
_cell_angle_alpha 90.00
_cell_angle_beta 90.00
_cell_angle_gamma 90.00
_space_group_name_H-M_alt 'P 1'
_space_group_IT_number 1
loop_
_space_group_symop_operation_xyz
'x,y,z'
loop_
_atom_site_label
_atom_site_fract_x
_atom_site_fract_y
_atom_site_fract_z
Li1 0.089 0.250 0.022
Li2 0.411 0.750 0.522
Li3 0.589 0.250 0.478
Li4 0.911 0.750 0.978
Mn1 0.000 0.000 0.500
Mn2 0.000 0.500 0.500
Mn3 0.239 0.750 0.005
Mn4 0.261 0.250 0.505
Mn5 0.500 0.000 0.000
Mn6 0.500 0.500 0.000
Mn7 0.739 0.750 0.495
Mn8 0.761 0.250 0.995
O1 0.086 0.250 0.666
O2 0.414 0.750 0.166
O3 0.586 0.250 0.834
O4 0.914 0.750 0.334
F1 0.071 0.750 0.788
F2 0.167 0.021 0.217
F3 0.167 0.479 0.217
F4 0.333 0.521 0.717
F5 0.333 0.979 0.717
F6 0.429 0.250 0.288
F7 0.571 0.750 0.712
F8 0.667 0.021 0.283
F9 0.667 0.479 0.283
F10 0.833 0.521 0.783
F11 0.833 0.979 0.783
F12 0.929 0.250 0.212
```

Peak list (10 most intense, 2θ = 10–90°, in order of rising 2θ)
d 4.713, 18.8 deg, I 54; d 3.785, 23.5 deg, I 100; d 2.956, 30.2 deg, I 42; d 2.733, 32.8 deg, I 29; d 2.682, 33.4 deg, I 40; d 2.633, 34.0 deg, I 35; d 2.424, 37.1 deg, I 29; d 1.892, 48.1 deg, I 74; d 1.876, 48.5 deg, I 31; d 1.559, 59.3 deg, I 29

Structure and simulated powder diffraction line list of Li3Mn5OF11 (a cell relaxed with PBE+U; Cu Kα (weighted mean of Kα1 and Kα2)).
Lines closer than 0.1° are merged.

```
data_Li3Mn5OF11
_cell_length_a 5.834
_cell_length_b 5.937
_cell_length_c 8.493
_cell_angle_alpha 87.41
_cell_angle_beta 89.49
_cell_angle_gamma 65.67
_space_group_name_H-M_alt 'P 1'
_space_group_IT_number 1
loop_
_space_group_symop_operation_xyz
'x,y,z'
loop_
_atom_site_label
_atom_site_fract_x
_atom_site_fract_y
_atom_site_fract_z
Li1 0.000 0.000 0.000
Li2 0.030 0.488 0.100
Li3 0.741 0.629 0.545
Mn1 0.286 0.183 0.794
Mn2 0.311 0.485 0.455
Mn3 0.508 0.580 0.863
Mn4 0.510 0.003 0.223
Mn5 0.822 0.083 0.607
O1 0.489 0.368 0.678
F1 0.016 0.323 0.606
F2 0.108 0.907 0.786
F3 0.175 0.309 0.285
F4 0.356 0.358 0.996
F5 0.361 0.881 0.032
F6 0.485 0.737 0.389
F7 0.608 0.842 0.724
F8 0.647 0.205 0.369
F9 0.851 0.828 0.109
F10 0.886 0.348 0.951
F11 0.964 0.768 0.478
```

Peak list (10 most intense, 2θ = 10–90°, in order of rising 2θ)
d 8.483, 10.4 deg, I 61; d 5.316, 16.7 deg, I 56; d 4.212, 21.1 deg, I 100; d 3.413, 26.1 deg, I 33; d 3.298, 27.0 deg, I 50; d 3.268, 27.3 deg, I 88; d 3.019, 29.6 deg, I 46; d 2.352, 38.3 deg, I 28; d 2.106, 42.9 deg, I 34; d 1.999, 45.4 deg, I 43

Structure and simulated powder diffraction line list of LiMn2O3F (a cell relaxed with PBE+U; Cu Kα (weighted mean of Kα1 and Kα2)).
Lines closer than 0.1° are merged.

```
data_LiMn2O3F
_cell_length_a 5.428
_cell_length_b 6.010
_cell_length_c 10.787
_cell_angle_alpha 90.00
_cell_angle_beta 90.14
_cell_angle_gamma 90.00
_space_group_name_H-M_alt 'P 1'
_space_group_IT_number 1
loop_
_space_group_symop_operation_xyz
'x,y,z'
loop_
_atom_site_label
_atom_site_fract_x
_atom_site_fract_y
_atom_site_fract_z
Li1 0.187 0.000 0.293
Li2 0.311 0.999 0.794
Li3 0.689 0.499 0.206
Li4 0.813 0.500 0.707
Mn1 0.000 0.250 0.500
Mn2 0.000 0.750 0.500
Mn3 0.015 0.498 0.999
Mn4 0.485 0.500 0.498
Mn5 0.500 0.248 0.000
Mn6 0.500 0.748 0.000
Mn7 0.515 0.000 0.502
Mn8 0.985 0.998 0.001
O1 0.114 0.500 0.593
O2 0.175 0.235 0.918
O3 0.175 0.762 0.918
O4 0.325 0.237 0.418
O5 0.325 0.763 0.418
O6 0.387 0.498 0.093
O7 0.613 0.998 0.907
O8 0.675 0.263 0.582
O9 0.675 0.737 0.582
O10 0.825 0.262 0.082
O11 0.825 0.735 0.082
O12 0.886 0.000 0.407
F1 0.187 0.000 0.632
F2 0.313 0.999 0.132
F3 0.687 0.499 0.868
F4 0.813 0.500 0.368
```

Peak list (10 most intense, 2θ = 10–90°, in order of rising 2θ)
d 5.394, 16.4 deg, I 100; d 2.714, 33.0 deg, I 6; d 2.554, 35.1 deg, I 23; d 2.424, 37.1 deg, I 16; d 2.363, 38.1 deg, I 7; d 2.122, 42.6 deg, I 28; d 1.915, 47.5 deg, I 6; d 1.911, 47.6 deg, I 6; d 1.668, 55.1 deg, I 15; d 1.534, 60.3 deg, I 14

Structure and simulated powder diffraction line list of Li2Mn3OF6 (a cell relaxed with PBE+U; Cu Kα (weighted mean of Kα1 and Kα2)).
Lines closer than 0.1° are merged.

```
data_Li2Mn3OF6
_cell_length_a 6.124
_cell_length_b 6.719
_cell_length_c 8.278
_cell_angle_alpha 68.35
_cell_angle_beta 71.60
_cell_angle_gamma 83.08
_space_group_name_H-M_alt 'P 1'
_space_group_IT_number 1
loop_
_space_group_symop_operation_xyz
'x,y,z'
loop_
_atom_site_label
_atom_site_fract_x
_atom_site_fract_y
_atom_site_fract_z
Li1 0.108 0.321 0.060
Li2 0.305 0.861 0.483
Li3 0.695 0.139 0.517
Li4 0.892 0.679 0.940
Mn1 0.086 0.174 0.773
Mn2 0.232 0.433 0.341
Mn3 0.366 0.746 0.933
Mn4 0.634 0.254 0.067
Mn5 0.768 0.567 0.659
Mn6 0.914 0.826 0.227
O1 0.079 0.585 0.133
O2 0.921 0.415 0.867
F1 0.093 0.705 0.441
F2 0.170 0.869 0.733
F3 0.224 0.030 0.002
F4 0.328 0.141 0.279
F5 0.391 0.275 0.550
F6 0.443 0.439 0.872
F7 0.557 0.561 0.128
F8 0.609 0.725 0.450
F9 0.672 0.859 0.721
F10 0.776 0.970 0.998
F11 0.830 0.131 0.267
F12 0.907 0.295 0.559
```

Peak list (10 most intense, 2θ = 10–90°, in order of rising 2θ)
d 4.744, 18.7 deg, I 100; d 2.762, 32.4 deg, I 22; d 2.747, 32.6 deg, I 21; d 2.728, 32.8 deg, I 22; d 2.223, 40.6 deg, I 38; d 2.209, 40.8 deg, I 34; d 2.167, 41.7 deg, I 32; d 1.624, 56.7 deg, I 12; d 1.617, 57.0 deg, I 13; d 1.606, 57.4 deg, I 11

Structure and simulated powder diffraction line list of Li7MnO3F3 (a cell relaxed with PBE+U; Cu Kα (weighted mean of Kα1 and Kα2)).
Lines closer than 0.1° are merged.

```
data_Li7MnO3F3
_cell_length_a 5.769
_cell_length_b 5.944
_cell_length_c 9.513
_cell_angle_alpha 98.66
_cell_angle_beta 98.40
_cell_angle_gamma 117.15
_space_group_name_H-M_alt 'P 1'
_space_group_IT_number 1
loop_
_space_group_symop_operation_xyz
'x,y,z'
loop_
_atom_site_label
_atom_site_fract_x
_atom_site_fract_y
_atom_site_fract_z
Li1 0.000 0.000 0.000
Li2 0.000 0.128 0.766
Li3 0.127 0.661 0.343
Li4 0.131 0.240 0.494
Li5 0.330 0.872 0.139
Li6 0.363 0.983 0.876
Li7 0.485 0.475 0.998
Li8 0.514 0.155 0.629
Li9 0.547 0.614 0.729
Li10 0.649 0.822 0.507
Li11 0.670 0.174 0.397
Li12 0.768 0.301 0.125
Li13 0.820 0.905 0.265
Li14 0.961 0.547 0.909
Mn1 0.364 0.399 0.280
Mn2 0.943 0.591 0.614
O1 0.389 0.196 0.095
O2 0.472 0.795 0.307
O3 0.525 0.419 0.501
O4 0.867 0.215 0.603
O5 0.939 0.795 0.805
O6 0.970 0.283 0.298
F1 0.009 0.859 0.445
F2 0.350 0.696 0.961
F3 0.386 0.806 0.658
F4 0.412 0.295 0.795
F5 0.848 0.212 0.943
F6 0.894 0.697 0.106
```

Peak list (10 most intense, 2θ = 10–90°, in order of rising 2θ)
d 5.126, 17.3 deg, I 53; d 5.030, 17.6 deg, I 58; d 4.382, 20.3 deg, I 88; d 3.360, 26.5 deg, I 53; d 2.858, 31.3 deg, I 65; d 2.642, 33.9 deg, I 50; d 2.591, 34.6 deg, I 41; d 2.489, 36.1 deg, I 100; d 2.078, 43.6 deg, I 45; d 1.786, 51.1 deg, I 49

Structure and simulated powder diffraction line list of Li2Mn2OF6 (a cell relaxed with PBE+U; Cu Kα (weighted mean of Kα1 and Kα2)).
Lines closer than 0.1° are merged.

```
data_Li2Mn2OF6
_cell_length_a 5.311
_cell_length_b 6.843
_cell_length_c 8.490
_cell_angle_alpha 69.56
_cell_angle_beta 76.32
_cell_angle_gamma 83.39
_space_group_name_H-M_alt 'P 1'
_space_group_IT_number 1
loop_
_space_group_symop_operation_xyz
'x,y,z'
loop_
_atom_site_label
_atom_site_fract_x
_atom_site_fract_y
_atom_site_fract_z
Li1 0.000 0.000 0.000
Li2 0.209 0.729 0.670
Li3 0.453 0.763 0.189
Li4 0.678 0.516 0.822
Mn1 0.061 0.462 0.119
Mn2 0.154 0.271 0.582
Mn3 0.523 0.228 0.250
Mn4 0.602 0.047 0.742
O1 0.174 0.321 0.329
O2 0.264 0.148 0.793
F1 0.147 0.737 0.116
F2 0.247 0.546 0.541
F3 0.417 0.371 0.012
F4 0.429 0.955 0.304
F5 0.509 0.768 0.735
F6 0.558 0.164 0.500
F7 0.663 0.500 0.216
F8 0.668 0.941 0.976
F9 0.776 0.333 0.697
F10 0.883 0.180 0.145
F11 0.979 0.571 0.897
F12 0.982 0.993 0.642
```

Peak list (10 most intense, 2θ = 10–90°, in order of rising 2θ)
d 6.408, 13.8 deg, I 100; d 6.030, 14.7 deg, I 89; d 4.089, 21.7 deg, I 32; d 3.957, 22.5 deg, I 44; d 3.888, 22.9 deg, I 39; d 3.477, 25.6 deg, I 35; d 2.218, 40.7 deg, I 41; d 2.151, 42.0 deg, I 42; d 1.961, 46.3 deg, I 34; d 1.469, 63.3 deg, I 29

Structure and simulated powder diffraction line list of Li2MnO2F (a cell relaxed with PBE+U; Cu Kα (weighted mean of Kα1 and Kα2)).
Lines closer than 0.1° are merged.

```
data_Li2MnO2F
_cell_length_a 5.174
_cell_length_b 5.174
_cell_length_c 9.841
_cell_angle_alpha 94.99
_cell_angle_beta 94.99
_cell_angle_gamma 119.92
_space_group_name_H-M_alt 'P 1'
_space_group_IT_number 1
loop_
_space_group_symop_operation_xyz
'x,y,z'
loop_
_atom_site_label
_atom_site_fract_x
_atom_site_fract_y
_atom_site_fract_z
Li1 0.000 0.500 0.000
Li2 0.135 0.330 0.504
Li3 0.234 0.766 0.750
Li4 0.330 0.135 0.004
Li5 0.500 0.000 0.500
Li6 0.670 0.865 0.996
Li7 0.766 0.234 0.250
Li8 0.865 0.670 0.496
Mn1 0.089 0.911 0.250
Mn2 0.412 0.588 0.250
Mn3 0.588 0.412 0.750
Mn4 0.911 0.089 0.750
O1 0.081 0.215 0.144
O2 0.135 0.646 0.368
O3 0.215 0.081 0.644
O4 0.354 0.865 0.132
O5 0.646 0.135 0.868
O6 0.785 0.919 0.356
O7 0.865 0.354 0.632
O8 0.919 0.785 0.856
F1 0.306 0.481 0.883
F2 0.481 0.306 0.383
F3 0.519 0.694 0.617
F4 0.694 0.519 0.117
```

Peak list (10 most intense, 2θ = 10–90°, in order of rising 2θ)
d 4.846, 18.3 deg, I 74; d 4.479, 19.8 deg, I 13; d 4.283, 20.7 deg, I 30; d 3.818, 23.3 deg, I 21; d 3.289, 27.1 deg, I 10; d 2.548, 35.2 deg, I 34; d 2.108, 42.9 deg, I 100; d 1.933, 47.0 deg, I 12; d 1.494, 62.1 deg, I 27; d 1.487, 62.5 deg, I 26

Structure and simulated powder diffraction line list of Li5MnO3F (a cell relaxed with PBE+U; Cu Kα (weighted mean of Kα1 and Kα2)).
Lines closer than 0.1° are merged.

```
data_Li5MnO3F
_cell_length_a 4.729
_cell_length_b 6.699
_cell_length_c 6.690
_cell_angle_alpha 90.00
_cell_angle_beta 90.17
_cell_angle_gamma 90.00
_space_group_name_H-M_alt 'P 1'
_space_group_IT_number 1
loop_
_space_group_symop_operation_xyz
'x,y,z'
loop_
_atom_site_label
_atom_site_fract_x
_atom_site_fract_y
_atom_site_fract_z
Li1 0.206 0.000 0.476
Li2 0.207 0.298 0.248
Li3 0.232 0.580 0.047
Li4 0.268 0.003 0.022
Li5 0.283 0.762 0.746
Li6 0.717 0.262 0.254
Li7 0.732 0.503 0.978
Li8 0.768 0.080 0.953
Li9 0.793 0.798 0.752
Li10 0.794 0.500 0.524
Mn1 0.230 0.293 0.759
Mn2 0.770 0.793 0.241
O1 0.007 0.549 0.768
O2 0.062 0.013 0.752
O3 0.472 0.282 0.017
O4 0.528 0.782 0.983
O5 0.938 0.513 0.248
O6 0.993 0.049 0.232
F1 0.467 0.275 0.478
F2 0.533 0.775 0.522
```

Peak list (10 most intense, 2θ = 10–90°, in order of rising 2θ)
d 4.733, 18.7 deg, I 33; d 3.862, 23.0 deg, I 100; d 3.347, 26.6 deg, I 29; d 2.732, 32.8 deg, I 52; d 2.530, 35.5 deg, I 46; d 2.117, 42.7 deg, I 21; d 2.019, 44.9 deg, I 18; d 1.674, 54.8 deg, I 39; d 1.671, 55.0 deg, I 19; d 1.578, 58.5 deg, I 9

Structure and simulated powder diffraction line list of Li2MnO2F (a cell relaxed with PBE+U; Cu Kα (weighted mean of Kα1 and Kα2)).
Lines closer than 0.1° are merged.

```
data_Li2MnO2F
_cell_length_a 5.929
_cell_length_b 4.071
_cell_length_c 8.946
_cell_angle_alpha 90.00
_cell_angle_beta 90.00
_cell_angle_gamma 90.00
_space_group_name_H-M_alt 'P 1'
_space_group_IT_number 1
loop_
_space_group_symop_operation_xyz
'x,y,z'
loop_
_atom_site_label
_atom_site_fract_x
_atom_site_fract_y
_atom_site_fract_z
Li1 0.114 0.250 0.086
Li2 0.139 0.250 0.753
Li3 0.361 0.750 0.253
Li4 0.386 0.750 0.586
Li5 0.614 0.250 0.414
Li6 0.639 0.250 0.747
Li7 0.861 0.750 0.247
Li8 0.886 0.750 0.914
Mn1 0.113 0.250 0.402
Mn2 0.387 0.750 0.902
Mn3 0.613 0.250 0.098
Mn4 0.887 0.750 0.598
O1 0.106 0.750 0.426
O2 0.151 0.750 0.757
O3 0.349 0.250 0.257
O4 0.394 0.250 0.926
O5 0.606 0.750 0.074
O6 0.651 0.750 0.743
O7 0.849 0.250 0.243
O8 0.894 0.250 0.574
F1 0.117 0.750 0.080
F2 0.383 0.250 0.580
F3 0.617 0.750 0.420
F4 0.883 0.250 0.920
```

Peak list (10 most intense, 2θ = 10–90°, in order of rising 2θ)
d 4.942, 17.9 deg, I 74; d 3.706, 24.0 deg, I 36; d 3.571, 24.9 deg, I 33; d 3.142, 28.4 deg, I 47; d 2.814, 31.8 deg, I 18; d 2.685, 33.4 deg, I 48; d 2.102, 43.0 deg, I 100; d 2.036, 44.5 deg, I 49; d 1.482, 62.7 deg, I 14; d 1.462, 63.6 deg, I 52

Structure and simulated powder diffraction line list of LiMn2O3F (a cell relaxed with PBE+U; Cu Kα (weighted mean of Kα1 and Kα2)).
Lines closer than 0.1° are merged.

```
data_LiMn2O3F
_cell_length_a 7.943
_cell_length_b 7.943
_cell_length_c 7.943
_cell_angle_alpha 134.67
_cell_angle_beta 82.64
_cell_angle_gamma 115.15
_space_group_name_H-M_alt 'P 1'
_space_group_IT_number 1
loop_
_space_group_symop_operation_xyz
'x,y,z'
loop_
_atom_site_label
_atom_site_fract_x
_atom_site_fract_y
_atom_site_fract_z
Li1 0.123 0.000 0.123
Li2 0.584 0.213 0.371
Li3 0.842 0.213 0.629
Li4 0.877 0.000 0.877
Mn1 0.086 0.586 0.500
Mn2 0.226 0.107 0.632
Mn3 0.226 0.594 0.119
Mn4 0.343 0.593 0.750
Mn5 0.474 0.107 0.881
Mn6 0.474 0.594 0.368
Mn7 0.616 0.616 0.000
Mn8 0.843 0.593 0.250
O1 0.109 0.342 0.767
O2 0.247 0.409 0.414
O3 0.247 0.833 0.838
O4 0.344 0.344 0.000
O5 0.355 0.855 0.500
O6 0.455 0.366 0.661
O7 0.455 0.795 0.089
O8 0.575 0.342 0.233
O9 0.706 0.366 0.911
O10 0.706 0.795 0.339
O11 0.995 0.409 0.162
O12 0.995 0.833 0.586
F1 0.113 0.862 0.250
F2 0.612 0.862 0.750
F3 0.842 0.342 0.500
F4 0.862 0.862 0.000
```

Peak list (10 most intense, 2θ = 10–90°, in order of rising 2θ)
d 6.932, 12.8 deg, I 92; d 4.970, 17.8 deg, I 100; d 3.603, 24.7 deg, I 30; d 2.800, 32.0 deg, I 31; d 2.575, 34.8 deg, I 26; d 2.557, 35.1 deg, I 26; d 2.136, 42.3 deg, I 86; d 2.129, 42.5 deg, I 41; d 1.652, 55.6 deg, I 15; d 1.508, 61.5 deg, I 49

- Which formula does entry 9 have?
  Li2MnO2F